# 1
The following is a calculated X-ray diffraction stick pattern of LiMg5. It was derived from a GGA-PBE-relaxed structure, using λ = 1.5418 Å (Cu Kα).
Lines closer than 0.1° are merged.

Main lines, by angle (10 to 90 degrees two-theta):
2θ (°), d_spacing, intensity
32.20, 2.780, 49
32.90, 2.722, 25
35.58, 2.523, 71
36.87, 2.438, 100
36.96, 2.432, 100
37.45, 2.401, 45
37.63, 2.390, 45
58.31, 1.583, 32
68.99, 1.361, 21
70.35, 1.338, 30

a b c (Å): 11.4407 3.2332 7.4442
angles (deg): 90.00 104.59 90.00
Space group Cm (No. 8)
Inequivalent atoms, fractional coordinates:
Li (0.0000, 0.0000, 0.0000) [2 per cell]
Mg (0.1107, 0.5000, 0.7261) [2 per cell]
Mg (0.1651, 0.5000, 0.3297) [2 per cell]
Mg (0.2788, 0.0000, 0.0554) [2 per cell]
Mg (0.3335, 0.0000, 0.6678) [2 per cell]
Mg (0.4448, 0.5000, 0.3876) [2 per cell]


# 2
The following is a calculated X-ray diffraction stick pattern of Mg2Sb3O8. It was derived from a GGA-PBE-relaxed structure, using λ = 1.5418 Å (Cu Kα).
Lines closer than 0.1° are merged.

Main lines, by angle (10 to 90 degrees two-theta):
2θ (°), d_spacing, intensity
18.18, 4.879, 41
18.44, 4.813, 100
24.28, 3.666, 22
32.99, 2.715, 97
33.14, 2.703, 29
36.85, 2.439, 33
42.60, 2.122, 54
56.31, 1.634, 34
57.94, 1.592, 34
59.77, 1.547, 28

a b c (Å): 6.5350 6.5350 9.6253
angles (deg): 90.00 90.00 120.00
Space group P6_3mc (No. 186)
Inequivalent atoms, fractional coordinates:
Mg (0.3333, 0.6667, 0.0000) [2 per cell]
Mg (0.3333, 0.6667, 0.3753) [2 per cell]
Sb (0.1652, 0.3304, 0.7128) [6 per cell]
O (0.0000, 0.0000, 0.3188) [2 per cell]
O (0.0354, 0.5177, 0.8470) [6 per cell]
O (0.1697, 0.3395, 0.1167) [6 per cell]
O (0.3333, 0.6667, 0.5874) [2 per cell]


# 3
The following is a calculated X-ray diffraction stick pattern of Ir3Rh. It was derived from a GGA-PBE-relaxed structure, using λ = 1.5418 Å (Cu Kα).
Lines closer than 0.1° are merged.

Main lines, by angle (10 to 90 degrees two-theta):
2θ (°), d_spacing, intensity
23.00, 3.867, 2
25.75, 3.460, 5
32.74, 2.736, 1
40.39, 2.233, 100
42.12, 2.145, 1
46.98, 1.934, 49
54.33, 1.688, 1
68.62, 1.368, 32
82.75, 1.166, 39
87.32, 1.117, 11

a b c (Å): 3.8688 3.8688 7.7344
angles (deg): 90.00 90.00 90.00
Space group I4/mmm (No. 139)
Inequivalent atoms, fractional coordinates:
Ir (0.0000, 0.0000, 0.0000) [2 per cell]
Ir (0.0000, 0.5000, 0.2500) [4 per cell]
Rh (0.0000, 0.0000, 0.5000) [2 per cell]


# 4
The following is a calculated X-ray diffraction stick pattern of Na6FeS4. It was derived from a GGA-PBE-relaxed structure, using λ = 1.5418 Å (Cu Kα).
Lines closer than 0.1° are merged.

Main lines, by angle (10 to 90 degrees two-theta):
2θ (°), d_spacing, intensity
11.42, 7.748, 70
17.14, 5.172, 57
22.96, 3.874, 26
28.15, 3.170, 17
33.20, 2.699, 76
34.69, 2.586, 72
37.14, 2.421, 26
40.32, 2.237, 100
40.66, 2.219, 25
45.64, 1.988, 33

a b c (Å): 8.9466 8.9466 6.9474
angles (deg): 90.00 90.00 120.00
Space group P6_3mc (No. 186)
Inequivalent atoms, fractional coordinates:
Na (0.0634, 0.5317, 0.0000) [6 per cell]
Na (0.1469, 0.2937, 0.6707) [6 per cell]
Fe (0.3333, 0.6667, 0.3842) [2 per cell]
S (0.1891, 0.3782, 0.2772) [6 per cell]
S (0.3333, 0.6667, 0.7233) [2 per cell]